[1]
Computed powder diffraction line list
Compound: HoPu2Si2Pt7
Radiation: Cu Kα (λ = 1.5418 Å)
Structure: a structure optimized by DFT (PBE)

Top 10 peaks for 15° ≤ 2θ ≤ 90°, low angle first:
2θ/deg, I_rel
25.98, 26
32.06, 34
32.64, 33
34.06, 34
34.66, 66
35.74, 80
37.16, 100
44.77, 69
44.95, 34
76.28, 31

Cell and atoms:
```
HoPu2Si2Pt7
1.0
2.8810 -2.8510 0.0000
2.8810 2.8510 0.0000
-1.9383 0.0000 13.7171
Ho Pu Si Pt
1 2 2 7
direct
0.0000 0.0000 0.0000
0.1065 0.1065 0.3615
0.8935 0.8935 0.6385
0.4141 0.4141 0.7472
0.5859 0.5859 0.2528
0.0538 0.5531 0.1586
0.3783 0.3783 0.5756
0.4469 0.9462 0.8414
0.5000 0.5000 0.0000
0.5531 0.0538 0.1586
0.6217 0.6217 0.4244
0.9462 0.4469 0.8414
```

***

[2]
Computed powder diffraction line list
Compound: DyZn2Ni5
Radiation: Cu Kα (λ = 1.5418 Å)
Structure: a structure optimized by DFT (PBE)

Top 10 peaks for 15° ≤ 2θ ≤ 90°, low angle first:
2θ/deg, I_rel
30.63, 23
33.60, 64
36.72, 62
38.69, 100
43.90, 16
46.69, 73
49.77, 34
52.68, 29
53.46, 16
70.63, 36

Cell and atoms:
```
DyZn2Ni5
1.0
3.6638 0.0000 0.0000
0.0000 6.3274 0.0000
0.0000 0.0000 9.8674
Dy Zn Ni
2 4 10
direct
0.0000 0.0000 0.0000
0.5000 0.5000 0.5000
0.0000 0.5000 0.2411
0.0000 0.5000 0.7589
0.5000 0.0000 0.2589
0.5000 0.0000 0.7411
0.0000 0.1923 0.3755
0.0000 0.1923 0.6245
0.0000 0.5000 0.0000
0.0000 0.8077 0.3755
0.0000 0.8077 0.6245
0.5000 0.0000 0.5000
0.5000 0.3077 0.1245
0.5000 0.3077 0.8755
0.5000 0.6923 0.1245
0.5000 0.6923 0.8755
```

***

[3]
Computed powder diffraction line list
Compound: CaMo3H
Radiation: Cu Kα (λ = 1.5418 Å)
Structure: a structure optimized by DFT (PBE)

Top 10 peaks for 15° ≤ 2θ ≤ 90°, low angle first:
2θ/deg, I_rel
21.05, 9
29.95, 7
36.89, 100
42.86, 49
48.22, 4
53.17, 3
62.23, 31
66.47, 2
74.59, 36
78.52, 11

Cell and atoms:
```
CaMo3H
1.0
4.2198 0.0000 0.0000
0.0000 4.2198 0.0000
0.0000 0.0000 4.2198
Ca Mo H
1 3 1
direct
0.0000 0.0000 0.0000
0.0000 0.5000 0.5000
0.5000 0.0000 0.5000
0.5000 0.5000 0.0000
0.5000 0.5000 0.5000
```

***

[4]
Computed powder diffraction line list
Compound: TmMg4Cd4
Radiation: Cu Kα (λ = 1.5418 Å)
Structure: a structure optimized by DFT (PBE)

Top 10 peaks for 15° ≤ 2θ ≤ 90°, low angle first:
2θ/deg, I_rel
26.28, 30
28.67, 100
30.22, 38
31.81, 65
36.14, 19
38.63, 65
38.80, 33
43.05, 57
56.09, 23
70.16, 26

Cell and atoms:
```
TmMg4Cd4
1.0
6.5582 0.0000 0.0000
0.0000 6.5582 0.0000
0.0000 0.0000 9.9414
Tm Mg Cd
2 8 8
direct
0.2500 0.7500 0.2500
0.7500 0.2500 0.7500
0.0303 0.2500 0.1764
0.2500 0.0303 0.6764
0.2500 0.4697 0.6764
0.4697 0.2500 0.1764
0.5303 0.7500 0.8236
0.7500 0.5303 0.3236
0.7500 0.9697 0.3236
0.9697 0.7500 0.8236
0.0155 0.2500 0.4715
0.2500 0.0155 0.9715
0.2500 0.4845 0.9715
0.4845 0.2500 0.4715
0.5155 0.7500 0.5285
0.7500 0.5155 0.0285
0.7500 0.9845 0.0285
0.9845 0.7500 0.5285
```

***

[5]
Computed powder diffraction line list
Compound: HoEr5Tm
Radiation: Cu Kα (λ = 1.5418 Å)
Structure: a structure optimized by DFT (PBE)

Top 10 peaks for 15° ≤ 2θ ≤ 90°, low angle first:
2θ/deg, I_rel
26.84, 18
30.81, 39
31.23, 56
31.34, 12
31.67, 100
33.21, 13
34.08, 21
36.06, 20
37.15, 11
47.41, 17

Cell and atoms:
```
HoEr5Tm
1.0
5.7606 -3.3188 0.0000
5.7606 3.3188 0.0000
-4.2294 0.0000 11.2952
Ho Er Tm
2 10 2
direct
0.0289 0.9711 0.7500
0.9711 0.0289 0.2500
0.1430 0.4183 0.7552
0.1873 0.6548 0.4985
0.3452 0.8127 0.0015
0.4158 0.5842 0.2500
0.4183 0.1430 0.2552
0.5817 0.8570 0.7448
0.5842 0.4158 0.7500
0.6548 0.1873 0.9985
0.8127 0.3452 0.5015
0.8570 0.5817 0.2448
0.0000 0.5000 0.0000
0.5000 0.0000 0.5000
```

***

[6]
Computed powder diffraction line list
Compound: Tl2In8Hg3
Radiation: Cu Kα (λ = 1.5418 Å)
Structure: a structure optimized by DFT (PBE)

Top 10 peaks for 15° ≤ 2θ ≤ 90°, low angle first:
2θ/deg, I_rel
31.07, 52
31.28, 94
32.14, 90
34.56, 100
35.77, 65
37.85, 49
38.70, 47
54.83, 34
58.05, 27
64.87, 24

Cell and atoms:
```
Tl2In8Hg3
1.0
8.5828 0.0000 0.0000
0.0000 3.3565 0.0000
-2.4786 0.0000 12.6262
Tl In Hg
2 8 3
direct
0.1700 0.0000 0.4494
0.8300 0.0000 0.5506
0.0783 0.5000 0.2161
0.2222 0.0000 0.7104
0.3801 0.0000 0.1463
0.4887 0.5000 0.3748
0.5113 0.5000 0.6252
0.6199 0.0000 0.8537
0.7778 0.0000 0.2896
0.9217 0.5000 0.7839
0.0000 0.0000 0.0000
0.3141 0.5000 0.9276
0.6859 0.5000 0.0724
```

***

[7]
Computed powder diffraction line list
Compound: Gd2TmBi
Radiation: Cu Kα (λ = 1.5418 Å)
Structure: a structure optimized by DFT (PBE)

Top 10 peaks for 15° ≤ 2θ ≤ 90°, low angle first:
2θ/deg, I_rel
30.62, 63
33.31, 100
43.85, 24
51.56, 7
56.16, 46
61.16, 17
63.74, 8
69.95, 11
72.36, 11
73.85, 11

Cell and atoms:
```
Gd2TmBi
1.0
4.1296 0.0000 0.0000
0.0000 4.1296 0.0000
0.0000 0.0000 7.0903
Gd Tm Bi
2 1 1
direct
0.0000 0.0000 0.2341
0.0000 0.0000 0.7659
0.5000 0.5000 0.5000
0.5000 0.5000 0.0000
```

***

[8]
Computed powder diffraction line list
Compound: Pr2AuC2
Radiation: Cu Kα (λ = 1.5418 Å)
Structure: a structure optimized by DFT (PBE)

Top 10 peaks for 15° ≤ 2θ ≤ 90°, low angle first:
2θ/deg, I_rel
24.66, 23
28.29, 30
29.32, 100
31.32, 56
32.94, 44
38.30, 26
42.89, 28
43.97, 35
44.56, 24
57.98, 22

Cell and atoms:
```
Pr2AuC2
1.0
7.2308 -2.1278 0.0000
7.2308 2.1278 0.0000
-1.5737 0.0000 6.8947
Pr Au C
4 2 4
direct
0.0294 0.6798 0.8644
0.3202 0.9706 0.6356
0.6798 0.0294 0.3644
0.9706 0.3202 0.1356
0.3414 0.6586 0.2500
0.6586 0.3414 0.7500
0.1426 0.4048 0.4723
0.4048 0.1426 0.9723
0.5952 0.8574 0.0277
0.8574 0.5952 0.5277
```

***

[9]
Computed powder diffraction line list
Compound: Al4HgSe7
Radiation: Cu Kα (λ = 1.5418 Å)
Structure: a structure optimized by DFT (PBE)

Top 10 peaks for 15° ≤ 2θ ≤ 90°, low angle first:
2θ/deg, I_rel
18.77, 52
21.79, 42
25.60, 73
25.94, 47
27.38, 100
29.09, 58
30.90, 44
44.94, 47
45.54, 58
53.96, 49

Cell and atoms:
```
Al4HgSe7
1.0
16.1440 0.0000 0.0000
0.0000 6.8700 0.0000
0.0000 0.0000 6.5153
Al Hg Se
8 2 14
direct
0.1261 0.1737 0.0000
0.2434 0.3287 0.4677
0.2566 0.6713 0.9677
0.3739 0.8263 0.5000
0.6261 0.8263 0.5000
0.7434 0.6713 0.9677
0.7566 0.3287 0.4677
0.8739 0.1737 0.0000
0.0000 0.6579 0.9034
0.5000 0.3421 0.4034
0.0000 0.2844 0.8260
0.1172 0.1953 0.3581
0.1381 0.8519 0.8392
0.2479 0.3339 0.8481
0.2521 0.6661 0.3481
0.3619 0.1481 0.3392
0.3828 0.8047 0.8581
0.5000 0.7156 0.3260
0.6172 0.8047 0.8581
0.6381 0.1481 0.3392
0.7479 0.6661 0.3481
0.7521 0.3339 0.8481
0.8619 0.8519 0.8392
0.8828 0.1953 0.3581
```

***

[10]
Computed powder diffraction line list
Compound: YNbSb2
Radiation: Cu Kα (λ = 1.5418 Å)
Structure: a structure optimized by DFT (PBE)

Top 8 peaks for 15° ≤ 2θ ≤ 90°, low angle first:
2θ/deg, I_rel
24.85, 2
35.43, 100
43.76, 1
50.97, 17
57.51, 1
63.61, 35
74.97, 11
85.74, 15

Cell and atoms:
```
YNbSb2
1.0
7.1663 0.0000 0.0000
0.0000 7.1663 0.0000
0.0000 0.0000 7.1663
Y Nb Sb
4 4 8
direct
0.0000 0.0000 0.0000
0.0000 0.5000 0.5000
0.5000 0.0000 0.5000
0.5000 0.5000 0.0000
0.0000 0.0000 0.5000
0.0000 0.5000 0.0000
0.5000 0.0000 0.0000
0.5000 0.5000 0.5000
0.2500 0.2500 0.2500
0.2500 0.2500 0.7500
0.2500 0.7500 0.2500
0.2500 0.7500 0.7500
0.7500 0.2500 0.2500
0.7500 0.2500 0.7500
0.7500 0.7500 0.2500
0.7500 0.7500 0.7500
```

***

[11]
Computed powder diffraction line list
Compound: BaCeC2O6F
Radiation: Cu Kα (λ = 1.5418 Å)
Structure: a structure optimized by DFT (PBE)

Top 10 peaks for 15° ≤ 2θ ≤ 90°, low angle first:
2θ/deg, I_rel
22.02, 90
27.25, 100
34.98, 52
41.72, 38
42.54, 34
44.90, 22
45.16, 45
55.55, 22
58.15, 17
67.95, 16

Cell and atoms:
```
BaCeC2O6F
1.0
2.5648 1.4808 12.9064
-2.5648 1.4808 12.9064
0.0000 -2.9616 12.9064
Ba Ce C O F
2 2 4 12 2
direct
0.0000 0.0000 0.0000
0.5000 0.5000 0.5000
0.2449 0.2449 0.2449
0.7551 0.7551 0.7551
0.1074 0.1074 0.1074
0.3738 0.3738 0.3738
0.6262 0.6262 0.6262
0.8926 0.8926 0.8926
0.0811 0.5190 0.5190
0.1849 0.7477 0.7477
0.2523 0.2523 0.8151
0.2523 0.8151 0.2523
0.4810 0.4810 0.9189
0.4810 0.9189 0.4810
0.5190 0.0811 0.5190
0.5190 0.5190 0.0811
0.7477 0.1849 0.7477
0.7477 0.7477 0.1849
0.8151 0.2523 0.2523
0.9189 0.4810 0.4810
0.1848 0.1848 0.1848
0.8152 0.8152 0.8152
```

***

[12]
Computed powder diffraction line list
Compound: Np2SnSb2N2
Radiation: Cu Kα (λ = 1.5418 Å)
Structure: a structure optimized by DFT (PBE)

Top 10 peaks for 15° ≤ 2θ ≤ 90°, low angle first:
2θ/deg, I_rel
28.75, 97
31.06, 100
33.64, 50
34.60, 92
39.08, 43
49.44, 54
50.03, 22
61.13, 54
61.75, 18
62.95, 19

Cell and atoms:
```
Np2SnSb2N2
1.0
3.6870 0.0000 0.0000
-1.8435 3.1930 0.0000
0.0000 0.0000 13.3218
Np Sn Sb N
2 1 2 2
direct
0.3333 0.6667 0.2913
0.6667 0.3333 0.7087
0.0000 0.0000 0.5000
0.0000 0.0000 0.1057
0.0000 0.0000 0.8943
0.3333 0.6667 0.6981
0.6667 0.3333 0.3019
```

***

[13]
Computed powder diffraction line list
Compound: TbTm3B4O12
Radiation: Cu Kα (λ = 1.5418 Å)
Structure: a structure optimized by DFT (PBE)

Top 10 peaks for 15° ≤ 2θ ≤ 90°, low angle first:
2θ/deg, I_rel
17.66, 13
23.05, 100
29.18, 12
29.64, 91
35.75, 31
42.97, 20
43.30, 16
47.10, 14
48.31, 23
48.82, 34

Cell and atoms:
```
TbTm3B4O12
1.0
5.0227 2.8999 2.7866
-5.0227 2.8999 2.7866
0.0000 -5.7997 2.7866
Tb Tm B O
1 3 4 12
direct
0.0000 0.0000 0.0000
0.0000 0.5357 0.4643
0.4643 0.0000 0.5357
0.5357 0.4643 0.0000
0.0360 0.5000 0.9640
0.5000 0.5000 0.5000
0.5000 0.9640 0.0360
0.9640 0.0360 0.5000
0.0274 0.6388 0.8256
0.1009 0.8991 0.5000
0.1744 0.3612 0.9726
0.3612 0.9726 0.1744
0.3629 0.6371 0.5000
0.5000 0.1009 0.8991
0.5000 0.3629 0.6371
0.6371 0.5000 0.3629
0.6388 0.8256 0.0274
0.8256 0.0274 0.6388
0.8991 0.5000 0.1009
0.9726 0.1744 0.3612
```